Diffraction record for SrU2BeO8. The X-ray powder pattern is theoretical, not measured: it uses a cell relaxed with GGA-PBE and Cu Kα (λ = 1.5418 Å).
Peak positions follow from Bragg's law for the DFT cell and can differ from measured ones.

Structural model:
```
data_SrU2BeO8
_chemical_formula_sum 'Sr1 U2 Be1 O8'
_cell_length_a 4.0814
_cell_length_b 5.7140
_cell_length_c 7.0508
_cell_angle_alpha 96.90
_cell_angle_beta 92.34
_cell_angle_gamma 95.21
_space_group_name_H-M_alt 'P -1'
_space_group_IT_number 2
loop_
_space_group_symop_operation_xyz
'x,y,z'
'-x,-y,-z'
loop_
_atom_site_label
_atom_site_type_symbol
_atom_site_fract_x
_atom_site_fract_y
_atom_site_fract_z
Sr1 Sr 0.0000 0.0000 0.0000
U1 U 0.4485 0.4619 0.7414
Be1 Be 0.0000 0.0000 0.5000
O1 O 0.0622 0.4107 0.2218
O2 O 0.0914 0.1479 0.6822
O3 O 0.4278 0.7025 0.5512
O4 O 0.4671 0.7227 0.0253
```

The 6 most intense peaks (10 to 80 degrees two-theta), low angle first:
(0 1 0), 15.70 deg, I 100.0; (1 0 0), 21.90 deg, I 39.1; (0 0 2), 25.48 deg, I 29.3; (1 -1 0), 25.77 deg, I 72.1; (0 1 -2), 28.30 deg, I 98.4; (0 1 2), 31.72 deg, I 65.8